Structure and calculated powder XRD pattern of CaNdSi4 (the GGA-PBE geometry in Alexandria; Cu Kα).
Neutral-atom scattering factors, no anomalous dispersion.

Cell and atoms:
```
12
Lattice="4.3185 0.0000 0.0000 0.0000 4.3185 0.0000 0.0000 0.0000 13.4062" Properties=species:S:1:pos:R:3 pbc="T T T"
Ca 0.0000 0.0000 0.0000
Ca 2.1593 2.1593 6.7031
Nd 0.0000 2.1593 10.0546
Nd 2.1593 0.0000 3.3515
Si 0.0000 0.0000 5.5437
Si 0.0000 0.0000 7.8624
Si 0.0000 2.1593 2.1995
Si 0.0000 2.1593 4.5036
Si 2.1593 0.0000 8.9026
Si 2.1593 0.0000 11.2066
Si 2.1593 2.1593 1.1594
Si 2.1593 2.1593 12.2468
```

Main lines, by angle (10° ≤ 2θ ≤ 90°):
index  Position (°2θ)  intensity
0 0 2  13.21  35
1 0 1  21.62  40
1 0 3  28.75  55
1 1 2  32.21  100
1 0 5  39.56  46
2 0 0  41.84  37